Record 1
Starting from a structure optimized by DFT (GGA-PBE), the powder diffractogram of KSrMg6 was calculated for Cu Kα (weighted mean of Kα1 and Kα2).
Peak positions follow from Bragg's law for the DFT cell and can differ from measured ones.

Atomic structure:
```
data_KSrMg6
_symmetry_space_group_name_H-M 'A m m 2'
_symmetry_Int_Tables_number 38
_cell_length_a 5.5401
_cell_length_b 7.6111
_cell_length_c 11.7292
_cell_angle_alpha 90.00
_cell_angle_beta 90.00
_cell_angle_gamma 90.00
loop_
_symmetry_equiv_pos_as_xyz
'x,y,z'
'-x,-y,z'
'-x,y,z'
'x,-y,z'
'x,y+1/2,z+1/2'
'-x,-y+1/2,z+1/2'
'-x,y+1/2,z+1/2'
'x,-y+1/2,z+1/2'
loop_
_atom_site_label
_atom_site_type_symbol
_atom_site_fract_x
_atom_site_fract_y
_atom_site_fract_z
K1 K 0.0000 0.0000 0.0000
Sr1 Sr 0.0000 0.0000 0.5041
Mg1 Mg 0.0000 0.2453 0.2477
Mg2 Mg 0.5000 0.0000 0.3151
Mg3 Mg 0.5000 0.0000 0.8118
Mg4 Mg 0.5000 0.2491 0.5919
```

Peak list (12 most intense, 10° ≤ 2θ ≤ 80°, by intensity)
| 2theta | Rel. int. | index |
| --- | --- | --- |
| 32.36 | 100 | 2 0 0 |
| 34.61 | 26 | 1 0 4 |
| 27.95 | 19 | 0 2 2 |
| 57.69 | 17 | 3 2 2 |
| 22.07 | 14 | 1 0 2 |
| 63.13 | 11 | 2 2 6 |
| 43.24 | 11 | 2 2 2 |
| 30.49 | 10 | 0 0 4 |
| 52.64 | 10 | 0 2 6 |
| 16.00 | 10 | 1 0 0 |
| 60.35 | 10 | 1 4 4 |
| 13.87 | 10 | 0 1 1 |


Record 2
Starting from a structure optimized by DFT (GGA-PBE), the powder diffractogram of KMg6Ti was calculated for Cu Kα (weighted mean of Kα1 and Kα2).
Peak positions follow from Bragg's law for the DFT cell and can differ from measured ones.

Atomic structure:
```
data_KMg6Ti
_symmetry_space_group_name_H-M 'P 4/m m m'
_symmetry_Int_Tables_number 123
_symmetry_space_group_name_Hall '-P 4 2'
_cell_length_a 6.7128
_cell_length_b 6.7128
_cell_length_c 4.5311
_cell_angle_alpha 90.00
_cell_angle_beta 90.00
_cell_angle_gamma 90.00
loop_
_atom_site_label
_atom_site_type_symbol
_atom_site_fract_x
_atom_site_fract_y
_atom_site_fract_z
K1 K 0.0000 0.0000 0.0000
Mg1 Mg 0.0000 0.5000 0.0000
Mg2 Mg 0.2794 0.2794 0.5000
Ti1 Ti 0.5000 0.5000 0.0000
```

Peak list (12 most intense, 10° ≤ 2θ ≤ 80°, by intensity)
| 2theta | Rel. int. | index |
| --- | --- | --- |
| 33.22 | 100 | 2 0 1 |
| 37.91 | 32 | 2 2 0 |
| 65.51 | 19 | 4 2 1 |
| 56.12 | 19 | 2 2 2 |
| 39.79 | 16 | 0 0 2 |
| 68.07 | 11 | 2 0 3 |
| 54.69 | 9 | 4 0 0 |
| 69.73 | 9 | 4 0 2 |
| 18.69 | 7 | 1 1 0 |
| 13.19 | 6 | 1 0 0 |
| 27.21 | 4 | 1 1 1 |
| 26.56 | 3 | 2 0 0 |


Record 3
Starting from a structure optimized by DFT (GGA-PBE), the powder diffractogram of KMg6Ti was calculated for Cu Kα (weighted mean of Kα1 and Kα2).
Peak positions follow from Bragg's law for the DFT cell and can differ from measured ones.

Atomic structure:
```
data_KMg6Ti
_symmetry_space_group_name_H-M 'A m m 2'
_symmetry_Int_Tables_number 38
_cell_length_a 5.2625
_cell_length_b 6.7467
_cell_length_c 11.2574
_cell_angle_alpha 90.00
_cell_angle_beta 90.00
_cell_angle_gamma 90.00
loop_
_symmetry_equiv_pos_as_xyz
'x,y,z'
'-x,-y,z'
'-x,y,z'
'x,-y,z'
'x,y+1/2,z+1/2'
'-x,-y+1/2,z+1/2'
'-x,y+1/2,z+1/2'
'x,-y+1/2,z+1/2'
loop_
_atom_site_label
_atom_site_type_symbol
_atom_site_fract_x
_atom_site_fract_y
_atom_site_fract_z
K1 K 0.0000 0.0000 0.0000
Mg1 Mg 0.0000 0.0000 0.5124
Mg2 Mg 0.0000 0.2283 0.2547
Mg3 Mg 0.5000 0.0000 0.6850
Mg4 Mg 0.5000 0.2380 0.4281
Ti1 Ti 0.5000 0.0000 0.2010
```

Peak list (12 most intense, 10° ≤ 2θ ≤ 80°, by intensity)
| 2theta | Rel. int. | index |
| --- | --- | --- |
| 35.40 | 100 | 1 2 2 |
| 34.07 | 34 | 2 0 0 |
| 36.20 | 31 | 1 0 4 |
| 61.85 | 19 | 3 2 2 |
| 31.80 | 18 | 0 0 4 |
| 30.90 | 14 | 0 2 2 |
| 67.28 | 13 | 2 2 6 |
| 56.09 | 12 | 0 2 6 |
| 47.29 | 11 | 2 0 4 |
| 15.31 | 10 | 0 1 1 |
| 46.66 | 9 | 2 2 2 |
| 65.76 | 8 | 2 4 0 |


Record 4
Starting from a structure optimized by DFT (GGA-PBE), the powder diffractogram of KMg14Ti was calculated for Cu Kα (weighted mean of Kα1 and Kα2).
Peak positions follow from Bragg's law for the DFT cell and can differ from measured ones.

Atomic structure:
```
data_KMg14Ti
_symmetry_space_group_name_H-M 'A m m 2'
_symmetry_Int_Tables_number 38
_cell_length_a 10.3828
_cell_length_b 6.6177
_cell_length_c 11.2306
_cell_angle_alpha 90.00
_cell_angle_beta 90.00
_cell_angle_gamma 90.00
loop_
_symmetry_equiv_pos_as_xyz
'x,y,z'
'-x,-y,z'
'-x,y,z'
'x,-y,z'
'x,y+1/2,z+1/2'
'-x,-y+1/2,z+1/2'
'-x,y+1/2,z+1/2'
'x,-y+1/2,z+1/2'
loop_
_atom_site_label
_atom_site_type_symbol
_atom_site_fract_x
_atom_site_fract_y
_atom_site_fract_z
K1 K 0.0000 0.0000 0.0000
Mg1 Mg 0.0000 0.2497 0.2502
Mg2 Mg 0.2422 0.0000 0.6607
Mg3 Mg 0.2555 0.2375 0.4143
Mg4 Mg 0.2613 0.0000 0.1710
Mg5 Mg 0.5000 0.0000 0.4983
Mg6 Mg 0.5000 0.0000 0.9968
Mg7 Mg 0.5000 0.2470 0.7474
Ti1 Ti 0.0000 0.0000 0.4870
```

Peak list (12 most intense, 10° ≤ 2θ ≤ 80°, by intensity)
| 2theta | Rel. int. | index |
| --- | --- | --- |
| 35.94 | 100 | 2 2 2 |
| 36.38 | 46 | 2 0 4 |
| 34.55 | 36 | 4 0 0 |
| 31.38 | 24 | 0 2 2 |
| 67.93 | 17 | 4 2 6 |
| 62.82 | 17 | 6 2 2 |
| 56.48 | 16 | 0 2 6 |
| 47.37 | 14 | 4 2 2 |
| 68.23 | 13 | 2 4 4 |
| 31.87 | 13 | 0 0 4 |
| 67.09 | 9 | 4 4 0 |
| 55.55 | 9 | 0 4 0 |


Record 5
Starting from a structure optimized by DFT (GGA-PBE), the powder diffractogram of KMg14Ti was calculated for Cu Kα (weighted mean of Kα1 and Kα2).
Peak positions follow from Bragg's law for the DFT cell and can differ from measured ones.

Atomic structure:
```
data_KMg14Ti
_symmetry_space_group_name_H-M 'P -6 m 2'
_symmetry_Int_Tables_number 187
_symmetry_space_group_name_Hall 'P -6 2'
_cell_length_a 6.5443
_cell_length_b 6.5443
_cell_length_c 10.3147
_cell_angle_alpha 90.00
_cell_angle_beta 90.00
_cell_angle_gamma 120.00
loop_
_atom_site_label
_atom_site_type_symbol
_atom_site_fract_x
_atom_site_fract_y
_atom_site_fract_z
K1 K 0.0000 0.0000 0.0000
Mg1 Mg 0.0004 0.5002 0.5000
Mg2 Mg 0.0078 0.5039 0.0000
Mg3 Mg 0.1676 0.3353 0.2647
Mg4 Mg 0.6667 0.3333 0.2468
Ti1 Ti 0.0000 0.0000 0.5000
```

Peak list (12 most intense, 10° ≤ 2θ ≤ 80°, by intensity)
| 2theta | Rel. int. | index |
| --- | --- | --- |
| 36.17 | 100 | 2 0 2 |
| 31.57 | 25 | 2 0 0 |
| 34.79 | 24 | 0 0 4 |
| 67.84 | 18 | 2 2 4 |
| 56.23 | 17 | 2 2 0 |
| 63.27 | 16 | 2 0 6 |
| 47.68 | 14 | 2 0 4 |
| 68.70 | 14 | 4 0 2 |
| 15.64 | 4 | 1 0 0 |
| 23.32 | 3 | 1 0 2 |
| 76.75 | 3 | 4 0 4 |
| 65.93 | 3 | 4 0 0 |


Record 6
Starting from a structure optimized by DFT (GGA-PBE), the powder diffractogram of KMg6Ti was calculated for Cu Kα (weighted mean of Kα1 and Kα2).
Peak positions follow from Bragg's law for the DFT cell and can differ from measured ones.

Atomic structure:
```
data_KMg6Ti
_symmetry_space_group_name_H-M 'P -6 m 2'
_symmetry_Int_Tables_number 187
_symmetry_space_group_name_Hall 'P -6 2'
_cell_length_a 6.5781
_cell_length_b 6.5781
_cell_length_c 5.1795
_cell_angle_alpha 90.00
_cell_angle_beta 90.00
_cell_angle_gamma 120.00
loop_
_atom_site_label
_atom_site_type_symbol
_atom_site_fract_x
_atom_site_fract_y
_atom_site_fract_z
K1 K 0.0000 0.0000 0.0000
Mg1 Mg 0.1744 0.3487 0.5000
Mg2 Mg 0.5116 0.0233 0.0000
Ti1 Ti 0.6667 0.3333 0.5000
```

Peak list (12 most intense, 10° ≤ 2θ ≤ 80°, by intensity)
| 2theta | Rel. int. | index |
| --- | --- | --- |
| 35.98 | 100 | 2 0 1 |
| 34.64 | 25 | 0 0 2 |
| 31.41 | 25 | 2 0 0 |
| 67.46 | 18 | 2 2 2 |
| 62.95 | 17 | 2 0 3 |
| 55.91 | 16 | 2 2 0 |
| 47.45 | 15 | 2 0 2 |
| 68.30 | 13 | 4 0 1 |
| 23.21 | 8 | 1 0 1 |
| 15.55 | 6 | 1 0 0 |
| 45.63 | 4 | 2 1 1 |
| 27.11 | 4 | 1 1 0 |


Record 7
Starting from a structure optimized by DFT (GGA-PBE), the powder diffractogram of KMg6Ti was calculated for Cu Kα (weighted mean of Kα1 and Kα2).
Peak positions follow from Bragg's law for the DFT cell and can differ from measured ones.

Atomic structure:
```
data_KMg6Ti
_symmetry_space_group_name_H-M 'A m m 2'
_symmetry_Int_Tables_number 38
_cell_length_a 5.2809
_cell_length_b 6.6507
_cell_length_c 11.2794
_cell_angle_alpha 90.00
_cell_angle_beta 90.00
_cell_angle_gamma 90.00
loop_
_symmetry_equiv_pos_as_xyz
'x,y,z'
'-x,-y,z'
'-x,y,z'
'x,-y,z'
'x,y+1/2,z+1/2'
'-x,-y+1/2,z+1/2'
'-x,y+1/2,z+1/2'
'x,-y+1/2,z+1/2'
loop_
_atom_site_label
_atom_site_type_symbol
_atom_site_fract_x
_atom_site_fract_y
_atom_site_fract_z
K1 K 0.0000 0.0000 0.0000
Mg1 Mg 0.0000 0.0000 0.4930
Mg2 Mg 0.0000 0.2317 0.2564
Mg3 Mg 0.5000 0.0000 0.8226
Mg4 Mg 0.5000 0.2384 0.5849
Ti1 Ti 0.5000 0.0000 0.3325
```

Peak list (12 most intense, 10° ≤ 2θ ≤ 80°, by intensity)
| 2theta | Rel. int. | index |
| --- | --- | --- |
| 35.66 | 100 | 1 2 2 |
| 36.11 | 45 | 1 0 4 |
| 33.95 | 38 | 2 0 0 |
| 31.23 | 22 | 0 2 2 |
| 61.86 | 19 | 3 2 2 |
| 67.31 | 17 | 2 2 6 |
| 56.21 | 15 | 0 2 6 |
| 46.79 | 13 | 2 2 2 |
| 31.73 | 13 | 0 0 4 |
| 67.79 | 12 | 1 4 4 |
| 66.45 | 9 | 2 4 0 |
| 62.17 | 8 | 3 0 4 |


Record 8
Starting from a structure optimized by DFT (GGA-PBE), the powder diffractogram of KMg6V was calculated for Cu Kα (weighted mean of Kα1 and Kα2).
Peak positions follow from Bragg's law for the DFT cell and can differ from measured ones.

Atomic structure:
```
data_KMg6V
_symmetry_space_group_name_H-M 'P 4/m m m'
_symmetry_Int_Tables_number 123
_symmetry_space_group_name_Hall '-P 4 2'
_cell_length_a 7.6751
_cell_length_b 7.6751
_cell_length_c 3.4562
_cell_angle_alpha 90.00
_cell_angle_beta 90.00
_cell_angle_gamma 90.00
loop_
_atom_site_label
_atom_site_type_symbol
_atom_site_fract_x
_atom_site_fract_y
_atom_site_fract_z
K1 K 0.0000 0.0000 0.0000
Mg1 Mg 0.0000 0.5000 0.0000
Mg2 Mg 0.2887 0.2887 0.5000
V1 V 0.5000 0.5000 0.0000
```

Peak list (12 most intense, 10° ≤ 2θ ≤ 80°, by intensity)
| 2theta | Rel. int. | index |
| --- | --- | --- |
| 34.94 | 100 | 2 0 1 |
| 33.01 | 54 | 2 2 0 |
| 60.21 | 28 | 4 2 1 |
| 11.53 | 17 | 1 0 0 |
| 47.38 | 15 | 4 0 0 |
| 63.86 | 14 | 2 2 2 |
| 16.33 | 14 | 1 1 0 |
| 52.99 | 8 | 0 0 2 |
| 23.18 | 8 | 2 0 0 |
| 73.79 | 7 | 4 0 2 |
| 44.04 | 6 | 3 0 1 |
| 42.47 | 5 | 3 2 0 |


Record 9
Starting from a structure optimized by DFT (GGA-PBE), the powder diffractogram of KMg6V was calculated for Cu Kα (weighted mean of Kα1 and Kα2).
Peak positions follow from Bragg's law for the DFT cell and can differ from measured ones.

Atomic structure:
```
data_KMg6V
_symmetry_space_group_name_H-M 'A m m 2'
_symmetry_Int_Tables_number 38
_cell_length_a 5.2891
_cell_length_b 6.5707
_cell_length_c 11.4549
_cell_angle_alpha 90.00
_cell_angle_beta 90.00
_cell_angle_gamma 90.00
loop_
_symmetry_equiv_pos_as_xyz
'x,y,z'
'-x,-y,z'
'-x,y,z'
'x,-y,z'
'x,y+1/2,z+1/2'
'-x,-y+1/2,z+1/2'
'-x,y+1/2,z+1/2'
'x,-y+1/2,z+1/2'
loop_
_atom_site_label
_atom_site_type_symbol
_atom_site_fract_x
_atom_site_fract_y
_atom_site_fract_z
K1 K 0.0000 0.0000 0.0000
Mg1 Mg 0.0000 0.0000 0.5056
Mg2 Mg 0.0000 0.2368 0.2484
Mg3 Mg 0.5000 0.0000 0.6707
Mg4 Mg 0.5000 0.2346 0.4146
V1 V 0.5000 0.0000 0.1897
```

Peak list (12 most intense, 10° ≤ 2θ ≤ 80°, by intensity)
| 2theta | Rel. int. | index |
| --- | --- | --- |
| 35.79 | 100 | 1 2 2 |
| 35.65 | 41 | 1 0 4 |
| 33.90 | 38 | 2 0 0 |
| 61.86 | 26 | 3 2 2 |
| 31.39 | 19 | 0 2 2 |
| 66.81 | 16 | 2 2 6 |
| 31.23 | 16 | 0 0 4 |
| 55.68 | 14 | 0 2 6 |
| 15.54 | 13 | 0 1 1 |
| 22.91 | 12 | 1 0 2 |
| 46.87 | 12 | 2 2 2 |
| 68.16 | 10 | 1 4 4 |


Record 10
Starting from a structure optimized by DFT (GGA-PBE), the powder diffractogram of KMg6W was calculated for Cu Kα (weighted mean of Kα1 and Kα2).
Peak positions follow from Bragg's law for the DFT cell and can differ from measured ones.

Atomic structure:
```
data_KMg6W
_symmetry_space_group_name_H-M 'A m m 2'
_symmetry_Int_Tables_number 38
_cell_length_a 4.3784
_cell_length_b 9.2692
_cell_length_c 9.2706
_cell_angle_alpha 90.00
_cell_angle_beta 90.00
_cell_angle_gamma 90.00
loop_
_symmetry_equiv_pos_as_xyz
'x,y,z'
'-x,-y,z'
'-x,y,z'
'x,-y,z'
'x,y+1/2,z+1/2'
'-x,-y+1/2,z+1/2'
'-x,y+1/2,z+1/2'
'x,-y+1/2,z+1/2'
loop_
_atom_site_label
_atom_site_type_symbol
_atom_site_fract_x
_atom_site_fract_y
_atom_site_fract_z
K1 K 0.0000 0.0000 0.0000
Mg1 Mg 0.0000 0.2472 0.2541
Mg2 Mg 0.5000 0.0000 0.2882
Mg3 Mg 0.5000 0.0000 0.7201
Mg4 Mg 0.5000 0.2139 0.5057
W1 W 0.0000 0.0000 0.5051
```

Peak list (12 most intense, 10° ≤ 2θ ≤ 80°, by intensity)
| 2theta | Rel. int. | index |
| --- | --- | --- |
| 34.17 | 100 | 1 2 2 |
| 13.51 | 88 | 0 1 1 |
| 19.15 | 48 | 0 2 0 |
| 28.03 | 34 | 1 0 2 |
| 38.86 | 33 | 0 0 4 |
| 36.90 | 31 | 1 3 1 |
| 57.96 | 24 | 2 0 4 |
| 24.45 | 23 | 1 1 1 |
| 67.37 | 22 | 1 2 6 |
| 27.21 | 22 | 0 2 2 |
| 20.28 | 20 | 1 0 0 |
| 43.63 | 19 | 2 1 1 |


Record 11
Starting from a structure optimized by DFT (GGA-PBE), the powder diffractogram of KMg14W was calculated for Cu Kα (weighted mean of Kα1 and Kα2).
Peak positions follow from Bragg's law for the DFT cell and can differ from measured ones.

Atomic structure:
```
data_KMg14W
_symmetry_space_group_name_H-M 'P -6 m 2'
_symmetry_Int_Tables_number 187
_symmetry_space_group_name_Hall 'P -6 2'
_cell_length_a 6.4618
_cell_length_b 6.4618
_cell_length_c 10.2940
_cell_angle_alpha 90.00
_cell_angle_beta 90.00
_cell_angle_gamma 120.00
loop_
_atom_site_label
_atom_site_type_symbol
_atom_site_fract_x
_atom_site_fract_y
_atom_site_fract_z
K1 K 0.0000 0.0000 0.0000
Mg1 Mg 0.0106 0.5053 0.0000
Mg2 Mg 0.1640 0.3280 0.2739
Mg3 Mg 0.5032 0.0063 0.5000
Mg4 Mg 0.6667 0.3333 0.2443
W1 W 0.0000 0.0000 0.5000
```

Peak list (12 most intense, 10° ≤ 2θ ≤ 80°, by intensity)
| 2theta | Rel. int. | index |
| --- | --- | --- |
| 36.55 | 100 | 2 0 2 |
| 18.04 | 46 | 1 0 1 |
| 15.84 | 45 | 1 0 0 |
| 23.48 | 35 | 1 0 2 |
| 31.99 | 30 | 2 0 0 |
| 34.86 | 23 | 0 0 4 |
| 48.03 | 19 | 2 0 4 |
| 68.59 | 18 | 2 2 4 |
| 57.01 | 17 | 2 2 0 |
| 63.62 | 17 | 2 0 6 |
| 32.73 | 15 | 1 1 2 |
| 69.65 | 14 | 4 0 2 |


Record 12
Starting from a structure optimized by DFT (GGA-PBE), the powder diffractogram of KMg6W was calculated for Cu Kα (weighted mean of Kα1 and Kα2).
Peak positions follow from Bragg's law for the DFT cell and can differ from measured ones.

Atomic structure:
```
data_KMg6W
_symmetry_space_group_name_H-M 'P 4/m m m'
_symmetry_Int_Tables_number 123
_symmetry_space_group_name_Hall '-P 4 2'
_cell_length_a 6.5520
_cell_length_b 6.5520
_cell_length_c 4.3844
_cell_angle_alpha 90.00
_cell_angle_beta 90.00
_cell_angle_gamma 90.00
loop_
_atom_site_label
_atom_site_type_symbol
_atom_site_fract_x
_atom_site_fract_y
_atom_site_fract_z
K1 K 0.0000 0.0000 0.0000
Mg1 Mg 0.0000 0.5000 0.0000
Mg2 Mg 0.2862 0.2862 0.5000
W1 W 0.5000 0.5000 0.0000
```

Peak list (12 most intense, 10° ≤ 2θ ≤ 80°, by intensity)
| 2theta | Rel. int. | index |
| --- | --- | --- |
| 34.17 | 100 | 2 0 1 |
| 13.51 | 89 | 1 0 0 |
| 19.16 | 48 | 1 1 0 |
| 28.02 | 34 | 1 1 1 |
| 38.88 | 33 | 2 2 0 |
| 36.90 | 32 | 2 1 1 |
| 24.43 | 23 | 1 0 1 |
| 27.22 | 22 | 2 0 0 |
| 67.39 | 22 | 4 2 1 |
| 57.92 | 20 | 2 2 2 |
| 20.25 | 20 | 0 0 1 |
| 48.60 | 19 | 3 1 1 |


Record 13
Starting from a structure optimized by DFT (GGA-PBE), the powder diffractogram of KMg14W was calculated for Cu Kα (weighted mean of Kα1 and Kα2).
Peak positions follow from Bragg's law for the DFT cell and can differ from measured ones.

Atomic structure:
```
data_KMg14W
_symmetry_space_group_name_H-M 'A m m 2'
_symmetry_Int_Tables_number 38
_cell_length_a 10.2323
_cell_length_b 6.6318
_cell_length_c 10.9626
_cell_angle_alpha 90.00
_cell_angle_beta 90.00
_cell_angle_gamma 90.00
loop_
_symmetry_equiv_pos_as_xyz
'x,y,z'
'-x,-y,z'
'-x,y,z'
'x,-y,z'
'x,y+1/2,z+1/2'
'-x,-y+1/2,z+1/2'
'-x,y+1/2,z+1/2'
'x,-y+1/2,z+1/2'
loop_
_atom_site_label
_atom_site_type_symbol
_atom_site_fract_x
_atom_site_fract_y
_atom_site_fract_z
K1 K 0.0000 0.0000 0.0000
Mg1 Mg 0.0000 0.2453 0.2501
Mg2 Mg 0.2344 0.0000 0.6595
Mg3 Mg 0.2480 0.2316 0.4177
Mg4 Mg 0.2645 0.0000 0.1723
Mg5 Mg 0.5000 0.0000 0.4980
Mg6 Mg 0.5000 0.0000 0.9954
Mg7 Mg 0.5000 0.2433 0.7483
W1 W 0.0000 0.0000 0.4846
```

Peak list (12 most intense, 10° ≤ 2θ ≤ 80°, by intensity)
| 2theta | Rel. int. | index |
| --- | --- | --- |
| 36.20 | 100 | 2 2 2 |
| 17.87 | 43 | 1 1 1 |
| 37.22 | 39 | 2 0 4 |
| 15.62 | 34 | 0 1 1 |
| 35.08 | 34 | 4 0 0 |
| 32.71 | 30 | 0 0 4 |
| 18.36 | 29 | 1 0 2 |
| 31.53 | 25 | 0 2 2 |
| 16.17 | 20 | 0 0 2 |
| 63.67 | 19 | 6 2 2 |
| 23.41 | 17 | 2 1 1 |
| 17.33 | 17 | 2 0 0 |